# 1
MgTi6N4O6: theoretical powder diffraction line list (copper Kα), based on DFT lattice parameters and positions (PBE).

Structural model:
Unit cell a=3.935 b=5.283 c=9.926 alpha=87.23 beta=89.99 gamma=68.13
Space group P1 (No. 1)
Symmetry-distinct sites (fractional):
1 Mg 0.000 0.000 0.000 x1
2 Ti 0.298 0.405 0.045 x1
3 Ti 0.366 0.270 0.336 x1
4 Ti 0.387 0.228 0.714 x1
5 Ti 0.657 0.687 0.238 x1
6 Ti 0.677 0.647 0.840 x1
7 Ti 0.723 0.554 0.532 x1
8 N 0.177 0.647 0.191 x1
9 N 0.783 0.435 0.019 x1
10 N 0.826 0.349 0.363 x1
11 N 0.827 0.347 0.715 x1
12 O 0.172 0.657 0.866 x1
13 O 0.264 0.474 0.532 x1
14 O 0.461 0.081 0.161 x1
15 O 0.473 0.053 0.905 x1
16 O 0.561 0.879 0.401 x1
17 O 0.561 0.880 0.660 x1

Top 6 peaks for 10° ≤ 2θ ≤ 90°, low angle first:
2θ 18.12, d = 4.897 Å, rel. 64
2θ 24.38, d = 3.652 Å, rel. 100
2θ 31.88, d = 2.807 Å, rel. 44
2θ 33.50, d = 2.675 Å, rel. 59
2θ 35.74, d = 2.513 Å, rel. 38
2θ 46.13, d = 1.968 Å, rel. 74

***

# 2
MgTi6N4O6: theoretical powder diffraction line list (copper Kα), based on DFT lattice parameters and positions (PBE).

Structural model:
Unit cell a=9.985 b=3.869 c=9.919 alpha=90.00 beta=90.00 gamma=90.00
Space group Amm2 (No. 38)
Symmetry-distinct sites (fractional):
1 Mg 0.000 0.000 0.000 x2
2 Ti 0.000 0.000 0.712 x2
3 Ti 0.212 0.000 0.360 x4
4 Ti 0.299 0.000 0.651 x4
5 Ti 0.500 0.000 0.302 x2
6 N 0.159 0.000 0.832 x4
7 N 0.326 0.000 0.195 x4
8 O 0.000 0.000 0.207 x2
9 O 0.126 0.000 0.548 x4
10 O 0.371 0.000 0.461 x4
11 O 0.500 0.000 0.755 x2

Top 6 peaks for 10° ≤ 2θ ≤ 90°, low angle first:
2θ 17.88, d = 4.960 Å, rel. 61
2θ 24.70, d = 3.605 Å, rel. 100
2θ 32.39, d = 2.764 Å, rel. 87
2θ 40.62, d = 2.221 Å, rel. 55
2θ 46.97, d = 1.935 Å, rel. 67
2θ 51.60, d = 1.771 Å, rel. 51

***

# 3
MgTi6N4O6: theoretical powder diffraction line list (copper Kα), based on DFT lattice parameters and positions (PBE).

Structural model:
Unit cell a=9.729 b=3.947 c=9.907 alpha=90.00 beta=90.24 gamma=90.00
Space group Cm (No. 8)
Symmetry-distinct sites (fractional):
1 Mg 0.000 0.000 0.000 x2
2 Ti 0.145 0.500 0.310 x2
3 Ti 0.154 0.500 0.678 x2
4 Ti 0.207 0.500 0.991 x2
5 Ti 0.290 0.000 0.486 x2
6 Ti 0.350 0.000 0.195 x2
7 Ti 0.356 0.000 0.787 x2
8 N 0.188 0.000 0.310 x2
9 N 0.232 0.500 0.497 x2
10 N 0.319 0.500 0.825 x2
11 N 0.330 0.500 0.149 x2
12 O 0.037 0.500 0.872 x2
13 O 0.043 0.500 0.120 x2
14 O 0.172 0.000 0.674 x2
15 O 0.211 0.000 0.992 x2
16 O 0.449 0.000 0.625 x2
17 O 0.451 0.000 0.363 x2

Top 6 peaks for 10° ≤ 2θ ≤ 90°, low angle first:
2θ 18.24, d = 4.864 Å, rel. 67
2θ 24.34, d = 3.658 Å, rel. 100
2θ 32.71, d = 2.738 Å, rel. 52
2θ 32.84, d = 2.727 Å, rel. 49
2θ 36.66, d = 2.451 Å, rel. 49
2θ 45.99, d = 1.974 Å, rel. 73